Diffraction record for Li7Cr2O8. The powder X-ray diffraction pattern is theoretical, not measured: it uses a DFT-relaxed cell (PBE+U, Alexandria) and Cu Kα (λ = 1.5418 Å).
Intensities are scaled so that the largest is 100.

Crystal structure
```
data_Li7Cr2O8
_chemical_formula_sum 'Li7 Cr2 O8'
_cell_length_a 5.223
_cell_length_b 5.232
_cell_length_c 7.812
_cell_angle_alpha 70.54
_cell_angle_beta 82.28
_cell_angle_gamma 67.77
_space_group_name_H-M_alt 'P 1'
_space_group_IT_number 1
_space_group_name_Hall 'P 1'
loop_
_atom_site_label
_atom_site_fract_x
_atom_site_fract_y
_atom_site_fract_z
Li1 0.000 0.000 0.000
Li2 0.012 0.283 0.582
Li3 0.468 0.550 0.987
Li4 0.491 0.704 0.561
Li5 0.504 0.984 0.206
Li6 0.944 0.563 0.808
Li7 0.968 0.813 0.464
Cr1 0.513 0.148 0.768
Cr2 0.939 0.380 0.233
O1 0.075 0.570 0.040
O2 0.180 0.083 0.380
O3 0.243 0.471 0.638
O4 0.395 0.954 0.981
O5 0.681 0.904 0.642
O6 0.742 0.229 0.170
O7 0.758 0.299 0.799
O8 0.781 0.611 0.364
```

The 12 most intense peaks (10° ≤ 2θ ≤ 90°), by angle:
| (hkl) | Position (°2θ) | Rel. int. |
| --- | --- | --- |
| 0 1 0 | 19.3 | 71 |
| 1 1 1 | 21.3 | 100 |
| 1 0 1 | 21.9 | 77 |
| 1 0 -1 | 22.1 | 75 |
| 0 0 2 | 24.2 | 40 |
| 0 1 2 | 25.9 | 74 |
| 1 1 -1 | 27.5 | 58 |
| 1 -1 0 | 31.2 | 35 |
| 2 1 2 | 39.2 | 28 |
| 2 2 1 | 41.6 | 28 |
| 1 -1 2 | 43.5 | 34 |
| -1 1 3 | 43.9 | 24 |